(1)
# Cd4Te3SO13
Calculated powder diffraction line list, CuKα. Input: a DFT-relaxed cell (PBE, OQMD).
Peak positions follow from Bragg's law for the DFT cell and can differ from measured ones.

Principal peaks in the range 2θ from 15° to 90°, sorted by position:
h k l  two_theta  d_spacing  I/Imax
1 1 3  28.28  3.156  100
1 0 -3  29.22  3.056  97
1 -2 1  29.37  3.041  68
1 3 -1  29.82  2.996  67
0 3 2  31.85  2.810  38
2 1 0  33.03  2.712  53
0 2 -4  36.42  2.467  41
0 1 6  48.06  1.893  25
2 -1 4  49.10  1.855  20
3 1 -3  57.24  1.610  21

Structural model:
```
data_Cd4Te3SO13
_chemical_formula_sum 'Cd8 Te6 S2 O26'
_cell_length_a 5.4282
_cell_length_b 9.9593
_cell_length_c 11.5728
_cell_angle_alpha 88.94
_cell_angle_beta 87.96
_cell_angle_gamma 74.45
_space_group_name_H-M_alt 'P -1'
_space_group_IT_number 2
_space_group_name_Hall '-P 1'
loop_
_atom_site_label
_atom_site_type_symbol
_atom_site_fract_x
_atom_site_fract_y
_atom_site_fract_z
Cd1 Cd 0.0000 0.0000 0.0000
Cd2 Cd 0.0933 0.8612 0.6762
Cd3 Cd 0.2998 0.3947 0.4362
Cd4 Cd 0.3168 0.2935 0.1275
Cd5 Cd 0.5000 0.0000 0.5000
Te1 Te 0.1715 0.7632 0.3748
Te2 Te 0.2674 0.5211 0.7501
Te3 Te 0.4715 0.0449 0.8126
S1 S 0.2111 0.6637 0.0640
O1 O 0.0191 0.6253 0.4301
O2 O 0.0395 0.3449 0.2976
O3 O 0.0623 0.7989 0.1158
O4 O 0.0936 0.6398 0.9548
O5 O 0.1375 0.0866 0.6142
O6 O 0.2105 0.5517 0.1504
O7 O 0.2545 0.9272 0.8364
O8 O 0.2923 0.0741 0.0871
O9 O 0.3345 0.8015 0.5119
O10 O 0.3367 0.0385 0.3212
O11 O 0.4324 0.6669 0.7383
O12 O 0.4430 0.4458 0.6110
O13 O 0.4804 0.6696 0.0413
```


(2)
# LaPrBrNCl2
Calculated powder diffraction line list, CuKα. Input: a DFT-relaxed cell (PBE, OQMD).
Peak positions follow from Bragg's law for the DFT cell and can differ from measured ones.

Principal peaks in the range 2θ from 15° to 90°, sorted by position:
h k l  two_theta  d_spacing  I/Imax
1 1 1  25.52  3.490  100
1 1 -2  27.10  3.291  23
1 1 2  31.14  2.872  47
4 0 -4  32.07  2.791  28
6 0 -1  32.53  2.753  34
5 1 -2  34.06  2.632  37
5 1 -3  36.11  2.488  22
5 1 1  42.44  2.130  24
0 2 0  44.19  2.049  21
3 1 -5  46.21  1.964  17

Structural model:
```
data_LaPrBrNCl2
_chemical_formula_sum 'La4 Pr4 Br4 N4 Cl8'
_cell_length_a 17.2718
_cell_length_b 4.0989
_cell_length_c 11.3073
_cell_angle_alpha 90.00
_cell_angle_beta 121.11
_cell_angle_gamma 90.00
_space_group_name_H-M_alt 'C 1 2/m 1'
_space_group_IT_number 12
_space_group_name_Hall '-C 2y'
loop_
_atom_site_label
_atom_site_type_symbol
_atom_site_fract_x
_atom_site_fract_y
_atom_site_fract_z
La1 La 0.1379 0.0000 0.2926
Pr1 Pr 0.0840 0.5000 0.9525
Br1 Br 0.2309 0.0000 0.1212
N1 N 0.0757 0.5000 0.1550
Cl1 Cl 0.0444 0.0000 0.7529
Cl2 Cl 0.1661 0.5000 0.5057
```